(1)
# TbEr7Sc12
Theoretical XRD peak list, CuKα. Input: a DFT-relaxed cell (PBE, Alexandria).
Intensities are scaled so that the largest is 100.

Cell and atoms:
```
TbEr7Sc12
1.0
5.727 3.306 4.927
-5.727 3.306 4.927
0.000 -6.613 4.927
Tb Er Sc
1 7 12
Direct
0.000 0.000 0.000 Tb
0.054 0.391 0.160 Er
0.160 0.054 0.391 Er
0.391 0.160 0.054 Er
0.500 0.500 0.500 Er
0.609 0.840 0.946 Er
0.840 0.946 0.609 Er
0.946 0.609 0.840 Er
0.134 0.624 0.494 Sc
0.148 0.273 0.721 Sc
0.273 0.721 0.148 Sc
0.279 0.852 0.727 Sc
0.376 0.506 0.866 Sc
0.494 0.134 0.624 Sc
0.506 0.866 0.376 Sc
0.624 0.494 0.134 Sc
0.721 0.148 0.273 Sc
0.727 0.279 0.852 Sc
0.852 0.727 0.279 Sc
0.866 0.376 0.506 Sc
```

Main lines, by angle (2θ from 10° to 90°):
| two_theta | I/Imax |
| --- | --- |
| 18.0 | 31 |
| 24.5 | 33 |
| 26.7 | 39 |
| 31.6 | 39 |
| 32.6 | 30 |
| 33.1 | 100 |
| 34.1 | 50 |
| 34.8 | 95 |
| 36.3 | 26 |
| 58.1 | 25 |

---

(2)
# TbEr7Sc2
Theoretical XRD peak list, CuKα. Input: a DFT-relaxed cell (PBE, Alexandria).
Intensities are scaled so that the largest is 100.

Cell and atoms:
```
TbEr7Sc2
1.0
-2.640 3.440 8.146
2.640 -3.440 8.146
2.640 3.440 -8.146
Tb Er Sc
1 7 2
Direct
0.000 0.000 0.000 Tb
0.139 0.387 0.751 Er
0.202 0.202 0.000 Er
0.364 0.613 0.751 Er
0.500 0.000 0.500 Er
0.636 0.387 0.249 Er
0.798 0.798 0.000 Er
0.861 0.613 0.249 Er
0.301 0.801 0.500 Sc
0.699 0.199 0.500 Sc
```

Main lines, by angle (2θ from 10° to 90°):
| two_theta | I/Imax |
| --- | --- |
| 31.5 | 100 |
| 32.3 | 95 |
| 34.0 | 45 |
| 34.1 | 54 |
| 42.4 | 14 |
| 48.9 | 39 |
| 59.2 | 17 |
| 59.7 | 16 |
| 60.4 | 23 |
| 63.7 | 27 |